This entry pairs a crystal structure of Ba2TmAlTe5 with its computed X-ray diffraction stick pattern. Radiation: a wavelength of 1.5418 Å. Structure: the PBE geometry in Alexandria.
No peak broadening, texture or thermal motion is included.

Cell and atoms:
```
data_Ba2TmAlTe5
_chemical_formula_sum 'Ba8 Tm4 Al4 Te20'
_space_group_name_H-M_alt 'C m c 21'
_space_group_IT_number 36
_cell_length_a 4.486
_cell_length_b 20.532
_cell_length_c 14.282
_cell_angle_alpha 90.00
_cell_angle_beta 90.00
_cell_angle_gamma 90.00
loop_
_space_group_symop_operation_xyz
'x,y,z'
'-x,-y,z+1/2'
'-x,y,z'
'x,-y,z+1/2'
'x+1/2,y+1/2,z'
'-x+1/2,-y+1/2,z+1/2'
'-x+1/2,y+1/2,z'
'x+1/2,-y+1/2,z+1/2'
loop_
_atom_site_label
_atom_site_type_symbol
_atom_site_fract_x
_atom_site_fract_y
_atom_site_fract_z
Ba1 Ba 0.000 0.122 0.000
Ba2 Ba 0.000 0.125 0.636
Tm1 Tm 0.000 0.205 0.340
Al1 Al 0.000 0.436 0.743
Te1 Te 0.000 0.049 0.350
Te2 Te 0.000 0.295 0.982
Te3 Te 0.000 0.311 0.687
Te4 Te 0.000 0.350 0.320
Te5 Te 0.000 0.498 0.585
```

Top 10 peaks for 10 to 90 degrees two-theta, sorted by position:
2θ/deg, Rel. int., index
26.80, 58, 0 6 1
27.66, 100, 1 1 3
29.49, 13, 1 5 0
32.10, 34, 1 5 2
37.21, 12, 0 8 2
38.80, 18, 0 2 6
40.20, 23, 2 0 0
44.80, 23, 1 7 4
48.96, 22, 2 6 1
65.62, 13, 3 1 3